For NiIr2O6, a structure optimized by DFT (GGA+U) gives the calculated powder diffraction line list in this record (Cu Ka).
Intensities are scaled so that the largest is 100.

Atomic structure:
Cell: 8.7182 8.7182 4.2759 Å, 90.00 90.00 120.00°
Space group P321 (No. 150)
Asymmetric unit:
Ni (0.0000, 0.0000, 0.0000) (multiplicity 1)
Ni (0.3333, 0.6667, 0.4991) (multiplicity 2)
Ir (0.0000, 0.3442, 0.0000) (multiplicity 3)
Ir (0.0000, 0.6782, 0.5000) (multiplicity 3)
O (0.1064, 0.2240, 0.2408) (multiplicity 6)
O (0.1096, 0.5654, 0.2518) (multiplicity 6)
O (0.2170, 0.4424, 0.7440) (multiplicity 6)

Principal peaks in the range 2θ from 5° to 70°, sorted by position:
| 2θ/deg | I/Imax | hkl |
| --- | --- | --- |
| 20.37 | 17 | 1 1 0 |
| 29.26 | 100 | 1 1 1 |
| 35.68 | 42 | 3 0 0 |
| 46.78 | 27 | 2 2 1 |
| 56.48 | 34 | 0 3 2 |
| 60.19 | 25 | 4 1 1 |